(1)
For CuHSe2, a crystal structure in Alexandria, relaxed with GGA-PBE gives the computed powder XRD pattern in this record (CuKα).
Peak positions follow from Bragg's law for the DFT cell and can differ from measured ones.

Largest 10 diffraction maxima, in order of falling intensity, 2θ from 10° to 90°:
two_theta	intensity	index
19.65	100.0	0 2 0
24.46	98.1	0 2 1
25.33	67.9	1 2 -1
42.64	56.8	1 1 2
42.01	41.0	0 3 2
46.81	34.2	3 1 -2
24.93	33.4	1 0 -2
44.67	32.8	2 2 -3
26.34	32.1	1 2 0
44.16	27.7	2 3 -2

Structural model:
```
data_CuHSe2
_cell_length_a 5.9674
_cell_length_b 9.0354
_cell_length_c 7.1780
_cell_angle_alpha 90.00
_cell_angle_beta 121.14
_cell_angle_gamma 90.00
_symmetry_space_group_name_H-M 'P 1 21/c 1'
_symmetry_Int_Tables_number 14
_symmetry_space_group_name_Hall '-P 2ybc'
loop_
_atom_site_label
_atom_site_type_symbol
_atom_site_fract_x
_atom_site_fract_y
_atom_site_fract_z
Cu1 Cu 0.1403 0.2296 0.3278
H1 H 0.2757 0.6519 0.6182
Se1 Se 0.1947 0.6875 0.0805
Se2 Se 0.3286 0.1161 0.1475
```

---

(2)
For Ho3TmTh7, a crystal structure in Alexandria, relaxed with GGA-PBE gives the computed powder XRD pattern in this record (CuKα).
Peak positions follow from Bragg's law for the DFT cell and can differ from measured ones.

Largest 10 diffraction maxima, in order of falling intensity, 2θ from 10° to 90°:
two_theta	intensity	index
32.74	100.0	3 3 -1
30.36	82.9	2 0 -2
32.35	53.7	2 2 1
32.47	51.4	1 3 1
32.03	35.7	0 4 0
44.71	28.6	2 4 -2
31.86	26.4	4 0 0
25.07	21.8	3 1 0
62.44	19.3	1 7 1
25.18	18.6	1 3 0

Structural model:
```
data_Ho3TmTh7
_cell_length_a 12.5974
_cell_length_b 11.1777
_cell_length_c 5.8894
_cell_angle_alpha 90.00
_cell_angle_beta 116.87
_cell_angle_gamma 90.00
_symmetry_space_group_name_H-M 'C 1 2/m 1'
_symmetry_Int_Tables_number 12
_symmetry_space_group_name_Hall '-C 2y'
loop_
_atom_site_label
_atom_site_type_symbol
_atom_site_fract_x
_atom_site_fract_y
_atom_site_fract_z
Ho1 Ho 0.0000 0.0000 0.0000
Ho2 Ho 0.0000 0.2048 0.5000
Tm1 Tm 0.0000 0.5000 0.0000
Th1 Th 0.0000 0.5000 0.5000
Th2 Th 0.1958 0.2067 0.1953
Th3 Th 0.2123 0.0000 0.6967
```

---

(3)
For ZnHIO4, a crystal structure in Alexandria, relaxed with GGA-PBE gives the computed powder XRD pattern in this record (CuKα).
Peak positions follow from Bragg's law for the DFT cell and can differ from measured ones.

Largest 10 diffraction maxima, in order of falling intensity, 2θ from 10° to 90°:
two_theta	intensity	index
22.39	100.0	1 1 1
21.54	78.1	1 1 -1
27.64	55.7	1 3 0
16.90	46.4	1 1 0
32.13	41.4	0 2 2
20.76	39.6	0 2 1
34.04	34.7	0 4 1
34.18	23.1	2 2 0
32.36	22.2	1 1 -2
42.79	22.2	2 0 2

Structural model:
```
data_ZnHIO4
_cell_length_a 5.8909
_cell_length_b 11.5768
_cell_length_c 6.3614
_cell_angle_alpha 90.00
_cell_angle_beta 92.51
_cell_angle_gamma 90.00
_symmetry_space_group_name_H-M 'C 1 c 1'
_symmetry_Int_Tables_number 9
_symmetry_space_group_name_Hall 'C -2yc'
loop_
_atom_site_label
_atom_site_type_symbol
_atom_site_fract_x
_atom_site_fract_y
_atom_site_fract_z
Zn1 Zn 0.0000 0.0264 0.0000
H1 H 0.3186 0.0210 0.7511
I1 I 0.1919 0.2974 0.7877
O1 O 0.1640 0.0521 0.7365
O2 O 0.2154 0.4434 0.9073
O3 O 0.4125 0.3143 0.5885
O4 O 0.4365 0.1797 0.1269
```

---

(4)
For ErPaPbC, a crystal structure in Alexandria, relaxed with GGA-PBE gives the computed powder XRD pattern in this record (CuKα).
Peak positions follow from Bragg's law for the DFT cell and can differ from measured ones.

Largest 10 diffraction maxima, in order of falling intensity, 2θ from 10° to 90°:
two_theta	intensity	index
30.38	100.0	0 1 2
38.22	82.9	1 0 7
61.95	54.1	1 1 9
30.54	47.9	0 0 9
52.51	38.2	1 1 0
34.24	34.0	0 1 5
29.79	27.1	1 0 1
64.47	19.7	1 0 16
57.74	16.7	0 1 14
48.53	16.5	0 1 11

Structural model:
```
data_ErPaPbC
_cell_length_a 3.4857
_cell_length_b 3.4857
_cell_length_c 26.3419
_cell_angle_alpha 90.00
_cell_angle_beta 90.00
_cell_angle_gamma 120.00
_symmetry_space_group_name_H-M 'R 3 m'
_symmetry_Int_Tables_number 160
_symmetry_space_group_name_Hall 'R 3 -2"'
loop_
_atom_site_label
_atom_site_type_symbol
_atom_site_fract_x
_atom_site_fract_y
_atom_site_fract_z
Er1 Er 0.0000 0.0000 0.0000
Pa1 Pa 0.0000 0.0000 0.5612
Pb1 Pb 0.0000 0.0000 0.4374
C1 C 0.0000 0.0000 0.2791
```

---

(5)
For Pa2TiAl3, a crystal structure in Alexandria, relaxed with GGA-PBE gives the computed powder XRD pattern in this record (CuKα).
Peak positions follow from Bragg's law for the DFT cell and can differ from measured ones.

Largest 10 diffraction maxima, in order of falling intensity, 2θ from 10° to 90°:
two_theta	intensity	index
38.52	100.0	3 1 0
33.21	71.3	0 2 0
31.90	58.9	2 0 -2
18.97	51.1	0 0 1
20.03	50.0	2 0 -1
58.52	22.2	5 1 -3
39.09	22.1	2 2 -1
49.47	14.7	1 1 2
62.93	14.7	3 3 0
37.38	13.6	1 1 -2

Structural model:
```
data_Pa2TiAl3
_cell_length_a 9.3550
_cell_length_b 5.3885
_cell_length_c 5.6214
_cell_angle_alpha 90.00
_cell_angle_beta 123.68
_cell_angle_gamma 90.00
_symmetry_space_group_name_H-M 'C 1 2/m 1'
_symmetry_Int_Tables_number 12
_symmetry_space_group_name_Hall '-C 2y'
loop_
_atom_site_label
_atom_site_type_symbol
_atom_site_fract_x
_atom_site_fract_y
_atom_site_fract_z
Pa1 Pa 0.1386 0.0000 0.4139
Ti1 Ti 0.0000 0.5000 0.5000
Al1 Al 0.0000 0.5000 0.0000
Al2 Al 0.2500 0.2500 0.0000
```

---

(6)
For KNaHg2, a crystal structure in Alexandria, relaxed with GGA-PBE gives the computed powder XRD pattern in this record (CuKα).
Peak positions follow from Bragg's law for the DFT cell and can differ from measured ones.

Largest 10 diffraction maxima, in order of falling intensity, 2θ from 10° to 90°:
two_theta	intensity	index
15.17	100.0	0 0 3
37.58	69.3	1 1 3
34.17	68.2	1 1 0
46.53	39.6	1 1 6
28.30	32.5	1 0 4
22.03	31.8	0 1 2
20.18	25.2	1 0 1
59.09	22.9	1 1 9
32.26	21.9	0 1 5
30.62	20.4	0 0 6

Structural model:
```
data_KNaHg2
_cell_length_a 5.2484
_cell_length_b 5.2484
_cell_length_c 17.5199
_cell_angle_alpha 90.00
_cell_angle_beta 90.00
_cell_angle_gamma 120.00
_symmetry_space_group_name_H-M 'R 3 m'
_symmetry_Int_Tables_number 160
_symmetry_space_group_name_Hall 'R 3 -2"'
loop_
_atom_site_label
_atom_site_type_symbol
_atom_site_fract_x
_atom_site_fract_y
_atom_site_fract_z
K1 K 0.0000 0.0000 0.0000
Na1 Na 0.0000 0.0000 0.1985
Hg1 Hg 0.0000 0.0000 0.4598
Hg2 Hg 0.0000 0.0000 0.7923
```